Record 1
Simulated XRD peak list
Compound: BaGaAg5
Radiation: λ = 1.5418 Å (Cu Kα)
Structure: DFT lattice parameters and positions (GGA-PBE)
Neutral-atom scattering factors, no anomalous dispersion.

Most intense lines, 2θ from 15° to 90°, sorted by position:
d = 2.962 Å, I = 30.9; d = 2.725 Å, I = 55.4; d = 2.648 Å, I = 93.6; d = 2.627 Å, I = 100.0; d = 2.490 Å, I = 28.0; d = 2.433 Å, I = 40.7; d = 2.265 Å, I = 51.8; d = 2.253 Å, I = 40.2; d = 2.243 Å, I = 44.1; d = 2.215 Å, I = 39.1

Cell and atoms:
Cell lengths 9.194, 5.924, 11.411 Å; angles 90.00, 90.00, 90.00 degrees
Sites, in units of the cell vectors:
Ba (0.239, 0.250, 0.063)
Ba (0.261, 0.750, 0.563)
Ba (0.739, 0.250, 0.437)
Ba (0.761, 0.750, 0.937)
Ga (0.156, 0.750, 0.857)
Ga (0.344, 0.250, 0.357)
Ga (0.656, 0.750, 0.643)
Ga (0.844, 0.250, 0.143)
Ag (0.065, 0.008, 0.305)
Ag (0.065, 0.492, 0.305)
Ag (0.078, 0.750, 0.086)
Ag (0.099, 0.250, 0.518)
Ag (0.179, 0.250, 0.764)
Ag (0.321, 0.750, 0.264)
Ag (0.401, 0.750, 0.018)
Ag (0.422, 0.250, 0.586)
Ag (0.435, 0.508, 0.805)
Ag (0.435, 0.992, 0.805)
Ag (0.565, 0.008, 0.195)
Ag (0.565, 0.492, 0.195)
Ag (0.578, 0.750, 0.414)
Ag (0.599, 0.250, 0.982)
Ag (0.679, 0.250, 0.736)
Ag (0.821, 0.750, 0.236)
Ag (0.901, 0.750, 0.482)
Ag (0.922, 0.250, 0.914)
Ag (0.935, 0.508, 0.695)
Ag (0.935, 0.992, 0.695)

Record 2
Simulated XRD peak list
Compound: Na2AcSmF8
Radiation: λ = 1.5418 Å (Cu Kα)
Structure: DFT lattice parameters and positions (GGA-PBE)
Neutral-atom scattering factors, no anomalous dispersion.

Most intense lines, 2θ from 15° to 90°, sorted by position:
d = 5.107 Å, I = 90.4; d = 3.298 Å, I = 100.0; d = 3.172 Å, I = 26.4; d = 2.856 Å, I = 19.5; d = 2.491 Å, I = 27.9; d = 2.122 Å, I = 28.1; d = 2.019 Å, I = 69.7; d = 1.725 Å, I = 15.7; d = 1.721 Å, I = 31.1; d = 1.703 Å, I = 15.2

Cell and atoms:
Cell lengths 7.002, 7.002, 7.002 Å; angles 131.91, 131.91, 70.36 degrees
Sites, in units of the cell vectors:
Na (0.000, 0.000, 0.000)
Na (0.750, 0.250, 0.500)
Ac (0.500, 0.500, 0.000)
Sm (0.250, 0.750, 0.500)
F (0.133, 0.110, 0.502)
F (0.133, 0.631, 0.023)
F (0.369, 0.392, 0.502)
F (0.369, 0.867, 0.977)
F (0.608, 0.110, 0.977)
F (0.608, 0.631, 0.498)
F (0.890, 0.392, 0.023)
F (0.890, 0.867, 0.498)